No. 1
Theoretical XRD peak list of LiIr2Se4 for Cu Kα, from a structure optimized by DFT (PBE).

Principal peaks in the range 2θ from 10° to 90°, most intense first:
2θ (°)  I_rel
14.45  100
33.77  87
48.51  61
27.87  40
44.31  20
50.87  20

a = 7.512 Å, b = 7.508 Å, c = 7.502 Å
α = 60.06°, β = 60.01°, γ = 59.93°
Positions (direct):
Li 0.125 0.125 0.125
Li 0.875 0.875 0.875
Ir 0.000 0.500 0.500
Ir 0.500 0.000 0.500
Ir 0.500 0.500 0.000
Ir 0.500 0.500 0.500
Se 0.263 0.709 0.265
Se 0.264 0.265 0.709
Se 0.265 0.264 0.263
Se 0.291 0.737 0.736
Se 0.709 0.263 0.264
Se 0.735 0.736 0.737
Se 0.736 0.735 0.291
Se 0.737 0.291 0.735

=====

No. 2
Theoretical XRD peak list of HfTcH2 for Cu Kα, from a structure optimized by DFT (PBE).

Principal peaks in the range 2θ from 10° to 90°, most intense first:
2θ (°)  I_rel
38.51  100
34.57  43
37.61  34
35.36  31
45.26  19
31.63  17

a = 4.915 Å, b = 3.093 Å, c = 10.378 Å
α = 90.00°, β = 90.00°, γ = 90.00°
Positions (direct):
Hf 0.086 0.250 0.137
Hf 0.414 0.750 0.637
Hf 0.586 0.250 0.363
Hf 0.914 0.750 0.863
Tc 0.113 0.750 0.396
Tc 0.387 0.250 0.896
Tc 0.613 0.750 0.104
Tc 0.887 0.250 0.604
H 0.165 0.250 0.747
H 0.231 0.250 0.496
H 0.269 0.750 0.996
H 0.335 0.750 0.247
H 0.665 0.250 0.753
H 0.731 0.250 0.004
H 0.769 0.750 0.504
H 0.835 0.750 0.253

=====

No. 3
Theoretical XRD peak list of Pm8Ho4Th for Cu Kα, from a structure optimized by DFT (PBE).

Principal peaks in the range 2θ from 10° to 90°, most intense first:
2θ (°)  I_rel
30.46  100
38.39  40
22.80  26
54.13  20
27.46  20
56.67  18

a = 7.819 Å, b = 7.819 Å, c = 7.819 Å
α = 97.28°, β = 97.28°, γ = 97.28°
Positions (direct):
Pm 0.170 0.170 0.669
Pm 0.170 0.669 0.170
Pm 0.241 0.241 0.241
Pm 0.331 0.830 0.830
Pm 0.669 0.170 0.170
Pm 0.759 0.759 0.759
Pm 0.830 0.331 0.830
Pm 0.830 0.830 0.331
Ho 0.000 0.000 0.000
Ho 0.000 0.500 0.500
Ho 0.500 0.000 0.500
Ho 0.500 0.500 0.000
Th 0.500 0.500 0.500